Structure and simulated powder XRD pattern of NaLa2Cu2S4 (a DFT-relaxed cell (PBE, Alexandria); Cu Kα, 1.54184 Å).
Peak positions follow from Bragg's law for the DFT cell and can differ from measured ones.

Structural model:
```
9
Lattice="7.330 -1.890 0.000 7.330 1.890 0.000 -2.635 0.000 6.541" Properties=species:S:1:pos:R:3 pbc="T T T"
Na 0.000 0.000 0.000
La 0.405 0.000 3.640
La 11.621 0.000 2.901
Cu 4.638 0.000 0.004
Cu 7.388 0.000 6.537
S 2.532 0.000 1.441
S 6.227 0.000 1.713
S 5.799 0.000 4.828
S 9.494 0.000 5.100
```

Most intense lines, 2θ from 10° to 80°, low angle first:
5.955 Å, I = 631
3.327 Å, I = 423
3.271 Å, I = 316
3.055 Å, I = 411
2.978 Å, I = 408
2.926 Å, I = 570
2.640 Å, I = 400
2.564 Å, I = 559
2.445 Å, I = 1000
2.158 Å, I = 502
1.959 Å, I = 370
1.890 Å, I = 361